# 1
Starting from the GGA-PBE geometry in Alexandria, the powder X-ray diffraction pattern of HAuCl3 was calculated for Cu Kα (λ = 1.5418 Å).

Principal peaks in the range 2θ from 10° to 90°, in order of rising 2θ:
14.86 deg, d 5.963, rel. 38, hkl 0 1 0; 16.74 deg, d 5.296, rel. 100, hkl 1 0 -1; 17.00 deg, d 5.215, rel. 84, hkl 0 1 -1; 17.63 deg, d 5.030, rel. 35, hkl 0 1 1; 17.76 deg, d 4.993, rel. 61, hkl 0 0 2; 20.06 deg, d 4.426, rel. 60, hkl 1 0 1; 22.44 deg, d 3.962, rel. 36, hkl 1 1 -1; 25.92 deg, d 3.437, rel. 39, hkl 1 1 -2; 30.21 deg, d 2.959, rel. 36, hkl 0 1 -3; 31.68 deg, d 2.824, rel. 42, hkl 0 2 1

Unit cell a=5.6035 b=5.9688 c=10.2225 alpha=92.15 beta=102.12 gamma=90.69
Space group P1 (No. 1)
Unique sites:
H (0.0000, 0.0000, 0.0000) x1
H (0.2819, 0.8736, 0.6175) x1
Au (0.1817, 0.5270, 0.7204) x1
Au (0.8040, 0.2393, 0.2725) x1
Cl (0.1308, 0.0513, 0.9127) x1
Cl (0.3231, 0.0185, 0.5322) x1
Cl (0.5826, 0.5221, 0.8240) x1
Cl (0.7804, 0.5313, 0.6107) x1
Cl (0.7844, 0.9140, 0.1496) x1
Cl (0.8213, 0.5771, 0.3812) x1

# 2
Starting from the GGA-PBE geometry in Alexandria, the powder X-ray diffraction pattern of V12Ga3Sn was calculated for Cu Kα (λ = 1.5418 Å).

Principal peaks in the range 2θ from 10° to 90°, in order of rising 2θ:
37.04 deg, d 2.427, rel. 47, hkl 0 2 0; 37.21 deg, d 2.416, rel. 46, hkl 2 0 0; 41.68 deg, d 2.167, rel. 70, hkl 0 2 2; 41.79 deg, d 2.161, rel. 69, hkl 2 1 0; 42.00 deg, d 2.151, rel. 69, hkl 1 0 4; 45.91 deg, d 1.977, rel. 100, hkl 1 2 2; 46.02 deg, d 1.972, rel. 98, hkl 2 1 2; 46.17 deg, d 1.966, rel. 93, hkl 1 1 4; 73.21 deg, d 1.293, rel. 50, hkl 1 3 4; 73.57 deg, d 1.287, rel. 45, hkl 2 1 6

Unit cell a=4.8329 b=4.8537 c=9.6063 alpha=90.00 beta=90.00 gamma=90.00
Space group Pmmm (No. 47)
Unique sites:
V (0.0000, 0.0000, 0.1209) x2
V (0.0000, 0.0000, 0.3647) x2
V (0.2351, 0.5000, 0.5000) x2
V (0.2615, 0.5000, 0.0000) x2
V (0.5000, 0.2577, 0.2408) x4
Ga (0.0000, 0.5000, 0.2490) x2
Ga (0.5000, 0.0000, 0.0000) x1
Sn (0.5000, 0.0000, 0.5000) x1

# 3
Starting from the GGA-PBE geometry in Alexandria, the powder X-ray diffraction pattern of Li6Tl3Rh2 was calculated for Cu Kα (λ = 1.5418 Å).

Principal peaks in the range 2θ from 10° to 90°, in order of rising 2θ:
13.79 deg, d 6.421, rel. 100, hkl 0 0 2; 19.35 deg, d 4.588, rel. 43, hkl 1 0 -2; 22.58 deg, d 3.938, rel. 25, hkl 1 0 2; 24.34 deg, d 3.656, rel. 80, hkl 1 1 1; 26.34 deg, d 3.384, rel. 73, hkl 0 1 3; 32.51 deg, d 2.754, rel. 32, hkl 1 1 3; 35.61 deg, d 2.521, rel. 39, hkl 2 1 -1; 38.02 deg, d 2.367, rel. 80, hkl 1 2 -2; 38.66 deg, d 2.329, rel. 28, hkl 0 1 5; 39.28 deg, d 2.294, rel. 34, hkl 2 0 -4

Unit cell a=5.6792 b=5.5263 c=12.9940 alpha=90.00 beta=98.80 gamma=90.00
Space group P2_1/c (No. 14)
Unique sites:
Li (0.0910, 0.0259, 0.3299) x4
Li (0.2700, 0.6527, 0.6141) x4
Li (0.3808, 0.1806, 0.6930) x4
Tl (0.2362, 0.5274, 0.3737) x4
Tl (0.5000, 0.0000, 0.5000) x2
Rh (0.0828, 0.2300, 0.5230) x4

# 4
Starting from the GGA-PBE geometry in Alexandria, the powder X-ray diffraction pattern of TbCeSc2In4 was calculated for Cu Kα (λ = 1.5418 Å).

Principal peaks in the range 2θ from 10° to 90°, in order of rising 2θ:
20.82 deg, d 4.267, rel. 20, hkl 0 1 2; 34.21 deg, d 2.621, rel. 100, hkl 0 1 8; 34.34 deg, d 2.612, rel. 99, hkl 1 1 0; 40.46 deg, d 2.230, rel. 11, hkl 2 0 2; 49.25 deg, d 1.850, rel. 35, hkl 2 0 8; 61.16 deg, d 1.515, rel. 18, hkl 1 0 16; 61.44 deg, d 1.509, rel. 53, hkl 3 0 0; 72.06 deg, d 1.311, rel. 11, hkl 0 2 16; 82.31 deg, d 1.171, rel. 15, hkl 2 1 16; 82.54 deg, d 1.169, rel. 15, hkl 3 1 8

Unit cell a=5.2231 b=5.2231 c=25.7320 alpha=90.00 beta=90.00 gamma=120.00
Space group R-3m (No. 166, hexagonal axes)
Unique sites:
Tb (0.0000, 0.0000, 0.0000) x3
Ce (0.0000, 0.0000, 0.5000) x3
Sc (0.0000, 0.0000, 0.2501) x6
In (0.0000, 0.0000, 0.1235) x6
In (0.0000, 0.0000, 0.3737) x6

# 5
Starting from the GGA-PBE geometry in Alexandria, the powder X-ray diffraction pattern of Al3Ag5 was calculated for Cu Kα (λ = 1.5418 Å).

Principal peaks in the range 2θ from 10° to 90°, in order of rising 2θ:
19.27 deg, d 4.605, rel. 43, hkl 1 0 0; 35.39 deg, d 2.536, rel. 19, hkl 0 2 1; 37.79 deg, d 2.381, rel. 100, hkl 1 2 -1; 37.89 deg, d 2.375, rel. 50, hkl 0 0 2; 39.12 deg, d 2.302, rel. 45, hkl 2 0 0; 43.27 deg, d 2.091, rel. 67, hkl 1 2 1; 46.42 deg, d 1.956, rel. 27, hkl 2 0 -2; 61.86 deg, d 1.500, rel. 13, hkl 0 4 0; 64.48 deg, d 1.445, rel. 19, hkl 1 2 -3; 66.17 deg, d 1.412, rel. 18, hkl 3 2 -1

Unit cell a=4.8056 b=6.0003 c=4.9560 alpha=90.00 beta=106.62 gamma=90.00
Space group P2/m (No. 10)
Unique sites:
Al (0.0000, 0.0000, 0.0000) x1
Al (0.0000, 0.2517, 0.5000) x2
Ag (0.0000, 0.5000, 0.0000) x1
Ag (0.5000, 0.0000, 0.5000) x1
Ag (0.5000, 0.2421, 0.0000) x2
Ag (0.5000, 0.5000, 0.5000) x1

# 6
Starting from the GGA-PBE geometry in Alexandria, the powder X-ray diffraction pattern of BaGa12Pt6 was calculated for Cu Kα (λ = 1.5418 Å).

Principal peaks in the range 2θ from 10° to 90°, in order of rising 2θ:
25.63 deg, d 3.476, rel. 75, hkl 2 1 1; 26.74 deg, d 3.334, rel. 75, hkl 2 0 2; 31.03 deg, d 2.882, rel. 100, hkl 2 2 0; 40.58 deg, d 2.223, rel. 59, hkl 0 3 3; 40.69 deg, d 2.218, rel. 98, hkl 3 2 1; 41.44 deg, d 2.179, rel. 58, hkl 0 4 2; 44.29 deg, d 2.045, rel. 95, hkl 0 2 4; 44.44 deg, d 2.038, rel. 53, hkl 2 3 2; 50.04 deg, d 1.823, rel. 49, hkl 5 0 2; 66.36 deg, d 1.409, rel. 54, hkl 5 2 3

Unit cell a=11.5190 b=11.5190 c=8.9681 alpha=90.00 beta=90.00 gamma=120.00
Space group R-3m (No. 166, hexagonal axes)
Unique sites:
Ba (0.0000, 0.0000, 0.0000) x3
Ga (0.0000, 0.3877, 0.5000) x18
Ga (0.0861, 0.1722, 0.3209) x18
Pt (0.0458, 0.5229, 0.2428) x18

# 7
Starting from the GGA-PBE geometry in Alexandria, the powder X-ray diffraction pattern of CrGaS3 was calculated for Cu Kα (λ = 1.5418 Å).

Principal peaks in the range 2θ from 10° to 90°, in order of rising 2θ:
24.87 deg, d 3.580, rel. 88, hkl 3 1 0; 26.64 deg, d 3.346, rel. 27, hkl 3 1 -1; 28.58 deg, d 3.123, rel. 62, hkl 2 2 1; 29.07 deg, d 3.072, rel. 44, hkl 0 0 2; 29.38 deg, d 3.040, rel. 83, hkl 1 3 -1; 35.88 deg, d 2.503, rel. 26, hkl 3 3 -1; 48.96 deg, d 1.860, rel. 27, hkl 3 5 0; 50.84 deg, d 1.796, rel. 72, hkl 1 3 -3; 51.40 deg, d 1.778, rel. 32, hkl 0 6 0; 51.95 deg, d 1.760, rel. 100, hkl 6 0 -2

Unit cell a=11.5863 b=10.6668 c=6.2427 alpha=90.00 beta=100.21 gamma=90.00
Space group C2/c (No. 15)
Unique sites:
Cr (0.0000, 0.0891, 0.2500) x4
Cr (0.0000, 0.2569, 0.7500) x4
Ga (0.1816, 0.4054, 0.2973) x8
S (0.1082, 0.0870, 0.6209) x8
S (0.1218, 0.2308, 0.1002) x8
S (0.1273, 0.4083, 0.6295) x8

# 8
Starting from the GGA-PBE geometry in Alexandria, the powder X-ray diffraction pattern of CsYAlSe4 was calculated for Cu Kα (λ = 1.5418 Å).

Principal peaks in the range 2θ from 10° to 90°, in order of rising 2θ:
19.46 deg, d 4.562, rel. 56, hkl 1 1 0; 24.73 deg, d 3.601, rel. 55, hkl 1 0 2; 27.27 deg, d 3.270, rel. 100, hkl 2 0 -2; 28.85 deg, d 3.095, rel. 98, hkl 1 1 2; 31.08 deg, d 2.877, rel. 61, hkl 2 1 -2; 32.26 deg, d 2.775, rel. 86, hkl 1 2 0; 34.76 deg, d 2.581, rel. 56, hkl 0 2 2; 35.41 deg, d 2.535, rel. 52, hkl 1 2 -2; 39.48 deg, d 2.282, rel. 61, hkl 2 2 0; 41.80 deg, d 2.161, rel. 54, hkl 3 1 0

Unit cell a=7.1894 b=6.0549 c=10.2294 alpha=90.00 beta=105.20 gamma=90.00
Space group P2_1/m (No. 11)
Unique sites:
Cs (0.2456, 0.2500, 0.0440) x2
Y (0.2519, 0.2500, 0.5525) x2
Al (0.2609, 0.7500, 0.3405) x2
Se (0.0057, 0.5116, 0.6947) x4
Se (0.4236, 0.7500, 0.5739) x2
Se (0.4582, 0.7500, 0.1918) x2

# 9
Starting from the GGA-PBE geometry in Alexandria, the powder X-ray diffraction pattern of UCoSi2Tc2 was calculated for Cu Kα (λ = 1.5418 Å).

Principal peaks in the range 2θ from 10° to 90°, in order of rising 2θ:
17.46 deg, d 5.079, rel. 8, hkl 0 0 1; 26.80 deg, d 3.326, rel. 16, hkl 1 0 1; 28.69 deg, d 3.112, rel. 63, hkl 1 1 0; 33.78 deg, d 2.653, rel. 26, hkl 1 1 1; 41.03 deg, d 2.200, rel. 100, hkl 2 0 0; 59.41 deg, d 1.556, rel. 54, hkl 2 2 0; 67.28 deg, d 1.392, rel. 11, hkl 3 1 0; 70.11 deg, d 1.342, rel. 7, hkl 3 1 1; 74.74 deg, d 1.270, rel. 14, hkl 0 0 4; 88.98 deg, d 1.100, rel. 27, hkl 4 0 0

Unit cell a=4.4010 b=4.4010 c=5.0789 alpha=90.00 beta=90.00 gamma=90.00
Space group P4/mmm (No. 123)
Unique sites:
U (0.0000, 0.0000, 0.0000) x1
Co (0.0000, 0.0000, 0.5000) x1
Si (0.0000, 0.5000, 0.5000) x2
Tc (0.5000, 0.5000, 0.2342) x2

# 10
Starting from the GGA-PBE geometry in Alexandria, the powder X-ray diffraction pattern of Sm4HoEr8 was calculated for Cu Kα (λ = 1.5418 Å).

Principal peaks in the range 2θ from 10° to 90°, in order of rising 2θ:
19.89 deg, d 4.465, rel. 10, hkl 1 1 1; 23.00 deg, d 3.867, rel. 9, hkl 2 0 0; 25.76 deg, d 3.458, rel. 5, hkl 2 1 0; 32.75 deg, d 2.734, rel. 100, hkl 2 2 0; 38.61 deg, d 2.332, rel. 6, hkl 3 1 1; 47.00 deg, d 1.933, rel. 18, hkl 4 0 0; 58.47 deg, d 1.579, rel. 37, hkl 4 2 2; 68.65 deg, d 1.367, rel. 11, hkl 4 4 0; 78.17 deg, d 1.223, rel. 15, hkl 6 2 0; 87.36 deg, d 1.116, rel. 4, hkl 4 4 4

Unit cell a=7.7334 b=7.7334 c=7.7334 alpha=90.00 beta=90.00 gamma=90.00
Space group Pm-3m (No. 221)
Unique sites:
Sm (0.0000, 0.0000, 0.0000) x1
Sm (0.0000, 0.5000, 0.5000) x3
Ho (0.5000, 0.5000, 0.5000) x1
Er (0.2405, 0.2405, 0.2405) x8

# 11
Starting from the GGA-PBE geometry in Alexandria, the powder X-ray diffraction pattern of CeY5In6 was calculated for Cu Kα (λ = 1.5418 Å).

Principal peaks in the range 2θ from 10° to 90°, in order of rising 2θ:
33.42 deg, d 2.681, rel. 51, hkl 2 0 0; 33.51 deg, d 2.674, rel. 100, hkl 1 2 3; 47.99 deg, d 1.896, rel. 18, hkl 2 0 6; 48.26 deg, d 1.886, rel. 9, hkl 0 4 0; 59.75 deg, d 1.548, rel. 18, hkl 1 2 9; 59.89 deg, d 1.544, rel. 27, hkl 3 2 3; 60.00 deg, d 1.542, rel. 9, hkl 2 4 0; 70.43 deg, d 1.337, rel. 11, hkl 2 4 6; 80.09 deg, d 1.198, rel. 11, hkl 4 0 6; 80.49 deg, d 1.193, rel. 7, hkl 1 6 3

Unit cell a=5.3550 b=7.5433 c=16.1061 alpha=90.00 beta=90.00 gamma=90.00
Space group Immm (No. 71)
Unique sites:
Ce (0.0000, 0.0000, 0.0000) x2
Y (0.0000, 0.0000, 0.3321) x4
Y (0.0000, 0.5000, 0.0000) x2
Y (0.0000, 0.5000, 0.3372) x4
In (0.0000, 0.2394, 0.5000) x4
In (0.0000, 0.2553, 0.1696) x8

# 12
Starting from the GGA-PBE geometry in Alexandria, the powder X-ray diffraction pattern of TbDy2Pa2Ru5 was calculated for Cu Kα (λ = 1.5418 Å).

Principal peaks in the range 2θ from 10° to 90°, in order of rising 2θ:
18.71 deg, d 4.743, rel. 16, hkl 2 1 0; 26.58 deg, d 3.354, rel. 22, hkl 3 1 0; 34.06 deg, d 2.633, rel. 19, hkl 2 2 1; 34.88 deg, d 2.572, rel. 19, hkl 4 1 0; 35.92 deg, d 2.500, rel. 22, hkl 3 3 0; 36.16 deg, d 2.484, rel. 100, hkl 3 1 1; 37.94 deg, d 2.372, rel. 14, hkl 4 2 0; 39.14 deg, d 2.302, rel. 31, hkl 3 2 1; 41.93 deg, d 2.155, rel. 24, hkl 4 0 1; 49.30 deg, d 1.848, rel. 19, hkl 0 0 2

Unit cell a=10.6060 b=10.6060 c=3.6967 alpha=90.00 beta=90.00 gamma=90.00
Space group P4/mbm (No. 127)
Unique sites:
Tb (0.0000, 0.0000, 0.0000) x2
Dy (0.1728, 0.3272, 0.0000) x4
Pa (0.1339, 0.6339, 0.0000) x4
Ru (0.0000, 0.5000, 0.5000) x2
Ru (0.0553, 0.7906, 0.5000) x8